This entry pairs a crystal structure of Na3Er2FeO6 with its calculated powder diffraction line list. Radiation: Cu Kα (weighted mean of Kα1 and Kα2). Structure: a GGA+U-relaxed structure.
No peak broadening, texture or thermal motion is included.

Largest 12 diffraction maxima, low angle first, 10 to 90 degrees two-theta:
Position (°2θ), I/Imax
16.00, 1000
31.97, 444
32.32, 216
33.34, 560
38.33, 586
38.51, 290
50.00, 123
54.80, 184
56.08, 274
58.67, 130
66.15, 118
70.01, 134

Cell: 5.683 5.683 5.845 Å, 99.16 99.16 120.09°
Fractional coordinates of all 12 atoms:
Na 0.000 0.000 0.000
Na 0.342 0.658 0.000
Na 0.658 0.342 0.000
Er 0.167 0.833 0.500
Er 0.833 0.167 0.500
Fe 0.500 0.500 0.500
O 0.117 0.432 0.292
O 0.253 0.253 0.705
O 0.432 0.117 0.292
O 0.568 0.883 0.708
O 0.747 0.747 0.295
O 0.883 0.568 0.708